Record 1
Diffraction record for Na3CoO3. The X-ray diffraction stick pattern is calculated, not measured: it uses a structure optimized by DFT (PBE+U) and CuKα.
Peak positions follow from Bragg's law for the DFT cell and can differ from measured ones.

Cell lengths 6.030, 5.883, 12.587 Å; angles 90.00, 118.55, 90.00 degrees
Fractional positions:
Na 0.081 0.064 0.313
Na 0.081 0.436 0.813
Na 0.257 0.518 0.620
Na 0.257 0.982 0.120
Na 0.303 0.018 0.598
Na 0.303 0.482 0.098
Na 0.697 0.518 0.902
Na 0.697 0.982 0.402
Na 0.743 0.018 0.880
Na 0.743 0.482 0.380
Na 0.919 0.564 0.187
Na 0.919 0.936 0.687
Co 0.321 0.648 0.414
Co 0.321 0.852 0.914
Co 0.679 0.148 0.086
Co 0.679 0.352 0.586
O 0.061 0.741 0.933
O 0.061 0.759 0.433
O 0.341 0.738 0.281
O 0.341 0.762 0.781
O 0.363 0.182 0.937
O 0.363 0.318 0.437
O 0.637 0.682 0.563
O 0.637 0.818 0.063
O 0.659 0.238 0.219
O 0.659 0.262 0.719
O 0.939 0.241 0.567
O 0.939 0.259 0.067

Largest 12 diffraction maxima, low angle first, 2θ from 15° to 90°:
d [Å], I/Imax
5.528, 28
5.292, 86
5.193, 42
4.029, 63
3.936, 72
2.646, 100
2.607, 39
2.385, 29
2.311, 40
2.170, 32
2.148, 59
1.766, 31

Record 2
Diffraction record for Sr4Ca4FeCo7O24. The X-ray diffraction stick pattern is calculated, not measured: it uses a structure optimized by DFT (PBE+U) and CuKα.
Peak positions follow from Bragg's law for the DFT cell and can differ from measured ones.

Cell lengths 7.753, 7.753, 7.598 Å; angles 90.10, 90.10, 89.99 degrees
Fractional positions:
Sr 0.000 0.000 0.000
Sr 0.000 0.508 0.503
Sr 0.508 0.000 0.503
Sr 0.508 0.508 0.504
Ca 0.510 0.997 0.995
Ca 0.511 0.511 0.997
Ca 0.997 0.510 0.995
Ca 0.997 0.997 0.507
Fe 0.254 0.254 0.753
Co 0.254 0.254 0.251
Co 0.254 0.754 0.250
Co 0.254 0.754 0.753
Co 0.754 0.254 0.250
Co 0.754 0.254 0.753
Co 0.754 0.754 0.250
Co 0.754 0.754 0.752
O 0.000 0.752 0.754
O 0.006 0.254 0.754
O 0.251 0.251 0.485
O 0.252 0.756 0.515
O 0.253 0.519 0.248
O 0.254 0.006 0.754
O 0.255 0.502 0.757
O 0.255 0.753 0.989
O 0.255 0.989 0.250
O 0.256 0.256 0.019
O 0.502 0.255 0.757
O 0.508 0.755 0.758
O 0.510 0.753 0.242
O 0.519 0.253 0.248
O 0.752 0.000 0.754
O 0.752 0.752 0.001
O 0.753 0.255 0.989
O 0.753 0.510 0.242
O 0.754 0.998 0.250
O 0.755 0.508 0.758
O 0.756 0.252 0.515
O 0.757 0.757 0.502
O 0.989 0.255 0.250
O 0.998 0.754 0.250

Largest 12 diffraction maxima, low angle first, 2θ from 15° to 90°:
d [Å], I/Imax
2.741, 51
2.713, 100
2.223, 12
1.938, 44
1.899, 20
1.578, 28
1.576, 9
1.562, 13
1.371, 12
1.358, 11
1.356, 11
1.226, 8

Record 3
Diffraction record for La2MgCo2O6. The X-ray diffraction stick pattern is calculated, not measured: it uses a structure optimized by DFT (PBE+U) and CuKα.
Peak positions follow from Bragg's law for the DFT cell and can differ from measured ones.

Cell lengths 5.827, 5.848, 6.237 Å; angles 63.13, 89.78, 60.30 degrees
Fractional positions:
La 0.000 0.000 0.000
La 0.400 0.192 0.221
Mg 0.770 0.453 0.334
Co 0.187 0.610 0.596
Co 0.604 0.786 0.826
O 0.069 0.510 0.346
O 0.338 0.685 0.859
O 0.413 0.740 0.341
O 0.555 0.104 0.859
O 0.839 0.087 0.343
O 0.966 0.472 0.862

Largest 12 diffraction maxima, low angle first, 2θ from 15° to 90°:
d [Å], I/Imax
5.335, 33
4.245, 24
2.927, 100
2.913, 49
2.744, 48
2.692, 45
2.681, 45
2.004, 22
1.990, 21
1.961, 19
1.687, 16
1.630, 24

Record 4
Diffraction record for Ca2MnFeSi4H5O15. The X-ray diffraction stick pattern is calculated, not measured: it uses a structure optimized by DFT (PBE+U) and CuKα.
Peak positions follow from Bragg's law for the DFT cell and can differ from measured ones.

Cell lengths 8.560, 9.663, 9.834 Å; angles 68.13, 77.59, 66.03 degrees
Fractional positions:
Ca 0.167 0.481 0.095
Ca 0.294 0.868 0.988
Ca 0.706 0.132 0.012
Ca 0.833 0.519 0.905
Mn 0.001 0.274 0.708
Mn 0.999 0.726 0.292
Fe 0.211 0.953 0.605
Fe 0.789 0.047 0.395
Si 0.200 0.928 0.297
Si 0.205 0.405 0.521
Si 0.239 0.566 0.729
Si 0.442 0.066 0.681
Si 0.558 0.934 0.319
Si 0.761 0.434 0.271
Si 0.795 0.595 0.479
Si 0.800 0.072 0.703
H 0.013 0.187 0.002
H 0.343 0.652 0.355
H 0.396 0.017 0.125
H 0.421 0.477 0.760
H 0.445 0.168 0.406
H 0.555 0.832 0.594
H 0.579 0.523 0.240
H 0.604 0.983 0.875
H 0.657 0.348 0.645
H 0.987 0.813 0.998
O 0.026 0.907 0.394
O 0.080 0.757 0.066
O 0.109 0.507 0.861
O 0.162 0.487 0.349
O 0.191 0.042 0.128
O 0.200 0.755 0.696
O 0.227 0.077 0.734
O 0.227 0.539 0.573
O 0.308 0.748 0.270
O 0.315 0.963 0.391
O 0.390 0.244 0.546
O 0.439 0.318 0.039
O 0.463 0.901 0.646
O 0.479 0.031 0.851
O 0.489 0.413 0.082
O 0.511 0.587 0.918
O 0.521 0.969 0.149
O 0.537 0.099 0.354
O 0.561 0.682 0.961
O 0.610 0.756 0.454
O 0.685 0.037 0.609
O 0.692 0.252 0.730
O 0.773 0.461 0.427
O 0.773 0.923 0.266
O 0.800 0.245 0.304
O 0.809 0.958 0.872
O 0.838 0.513 0.651
O 0.891 0.493 0.139
O 0.920 0.243 0.934
O 0.974 0.093 0.606

Largest 12 diffraction maxima, low angle first, 2θ from 15° to 90°:
d [Å], I/Imax
5.364, 88
4.894, 96
4.183, 78
4.068, 89
3.563, 41
3.482, 37
3.214, 70
3.034, 41
2.812, 47
2.696, 63
2.684, 100
2.597, 82

Record 5
Diffraction record for YMnO3. The X-ray diffraction stick pattern is calculated, not measured: it uses a structure optimized by DFT (PBE+U) and CuKα.
Peak positions follow from Bragg's law for the DFT cell and can differ from measured ones.

Cell lengths 3.624, 3.624, 11.440 Å; angles 90.00, 90.00, 120.00 degrees
Fractional positions:
Y 0.000 0.000 0.000
Y 0.000 0.000 0.500
Mn 0.333 0.667 0.250
Mn 0.667 0.333 0.750
O 0.000 0.000 0.250
O 0.000 0.000 0.750
O 0.333 0.667 0.084
O 0.333 0.667 0.416
O 0.667 0.333 0.584
O 0.667 0.333 0.916

Largest 12 diffraction maxima, low angle first, 2θ from 15° to 90°:
d [Å], I/Imax
5.720, 13
3.138, 32
3.027, 61
2.860, 46
2.751, 100
2.114, 40
1.812, 58
1.630, 32
1.531, 38
1.513, 17
1.161, 14
1.123, 13

Record 6
Diffraction record for CrSbP2O8. The X-ray diffraction stick pattern is calculated, not measured: it uses a structure optimized by DFT (PBE+U) and CuKα.
Peak positions follow from Bragg's law for the DFT cell and can differ from measured ones.

Cell lengths 4.946, 6.146, 10.502 Å; angles 90.00, 90.11, 90.00 degrees
Fractional positions:
Cr 0.056 0.250 0.215
Cr 0.944 0.750 0.785
Sb 0.458 0.250 0.729
Sb 0.542 0.750 0.271
P 0.085 0.750 0.083
P 0.369 0.750 0.612
P 0.631 0.250 0.388
P 0.915 0.250 0.917
O 0.164 0.750 0.943
O 0.214 0.558 0.685
O 0.214 0.942 0.685
O 0.222 0.551 0.155
O 0.222 0.949 0.155
O 0.223 0.250 0.900
O 0.311 0.750 0.471
O 0.330 0.250 0.356
O 0.670 0.750 0.644
O 0.689 0.250 0.529
O 0.777 0.750 0.100
O 0.778 0.051 0.845
O 0.778 0.449 0.845
O 0.786 0.058 0.315
O 0.786 0.442 0.315
O 0.836 0.250 0.057

Largest 12 diffraction maxima, low angle first, 2θ from 15° to 90°:
d [Å], I/Imax
5.305, 18
5.251, 77
4.473, 42
3.617, 100
3.604, 25
3.106, 19
3.073, 58
2.591, 80
2.533, 16
1.863, 15
1.809, 22
1.665, 19

Record 7
Diffraction record for TiCrSbO6. The X-ray diffraction stick pattern is calculated, not measured: it uses a structure optimized by DFT (PBE+U) and CuKα.
Peak positions follow from Bragg's law for the DFT cell and can differ from measured ones.

Cell lengths 4.676, 4.676, 9.183 Å; angles 90.00, 90.00, 90.00 degrees
Fractional positions:
Ti 0.000 0.000 0.000
Ti 0.500 0.500 0.500
Cr 0.000 0.000 0.671
Cr 0.500 0.500 0.171
Sb 0.000 0.000 0.338
Sb 0.500 0.500 0.838
O 0.193 0.193 0.169
O 0.194 0.194 0.842
O 0.197 0.197 0.503
O 0.303 0.697 0.003
O 0.306 0.694 0.342
O 0.307 0.693 0.669
O 0.693 0.307 0.669
O 0.694 0.306 0.342
O 0.697 0.303 0.003
O 0.803 0.803 0.503
O 0.806 0.806 0.842
O 0.807 0.807 0.169

Largest 12 diffraction maxima, low angle first, 2θ from 15° to 90°:
d [Å], I/Imax
4.591, 10
4.167, 29
3.306, 100
2.683, 11
2.561, 63
2.338, 15
2.246, 9
2.039, 9
1.727, 62
1.653, 16
1.479, 12
1.389, 33